[1]
This entry pairs a crystal structure of NdLu3O with its computed powder diffractogram. Radiation: λ = 1.5418 Å (Cu Kα). Structure: a crystal structure in Alexandria, relaxed with GGA-PBE.
Intensities are scaled so that the largest is 100.

Top 10 peaks for 10° ≤ 2θ ≤ 90°, most intense first:
31.78 deg, intensity 100.0
36.86 deg, intensity 55.9
63.23 deg, intensity 42.8
53.11 deg, intensity 39.2
89.96 deg, intensity 18.5
87.09 deg, intensity 18.4
66.39 deg, intensity 13.3
78.43 deg, intensity 6.2
18.19 deg, intensity 1.5
41.39 deg, intensity 0.7

Atomic structure:
Cell: 4.878 4.878 4.878 Å, 90.00 90.00 90.00°
Space group Pm-3m (No. 221)
Unique sites:
Nd  0.000  0.000  0.000 x1
Lu  0.000  0.500  0.500 x3
O  0.500  0.500  0.500 x1

=====

[2]
This entry pairs a crystal structure of NdLuPu with its computed powder diffractogram. Radiation: λ = 1.5418 Å (Cu Kα). Structure: a crystal structure in Alexandria, relaxed with GGA-PBE.
Intensities are scaled so that the largest is 100.

Top 10 peaks for 10° ≤ 2θ ≤ 90°, most intense first:
31.84 deg, intensity 100.0
32.64 deg, intensity 76.4
57.24 deg, intensity 31.4
46.24 deg, intensity 29.4
65.26 deg, intensity 26.1
42.12 deg, intensity 21.5
56.73 deg, intensity 19.9
76.10 deg, intensity 13.7
83.25 deg, intensity 13.6
66.54 deg, intensity 12.3

Atomic structure:
Cell: 5.6210 5.6210 3.3211 Å, 90.00 90.00 120.00°
Space group P3m1 (No. 156)
Unique sites:
Nd  0.0000  0.0000  0.0000 x1
Lu  0.3333  0.6667  0.5029 x1
Pu  0.6667  0.3333  0.4973 x1

=====

[3]
This entry pairs a crystal structure of NdLuTl with its computed powder diffractogram. Radiation: λ = 1.5418 Å (Cu Kα). Structure: a crystal structure in Alexandria, relaxed with GGA-PBE.
Intensities are scaled so that the largest is 100.

Top 10 peaks for 10° ≤ 2θ ≤ 90°, most intense first:
31.60 deg, intensity 100.0
34.92 deg, intensity 39.6
60.55 deg, intensity 31.8
54.05 deg, intensity 21.2
50.21 deg, intensity 14.3
65.99 deg, intensity 13.3
39.90 deg, intensity 12.1
88.51 deg, intensity 8.9
67.29 deg, intensity 8.9
82.44 deg, intensity 6.7

Atomic structure:
Cell: 3.634 3.634 13.555 Å, 90.00 90.00 90.00°
Space group I4mm (No. 107)
Unique sites:
Nd  0.000  0.000  0.000 x2
Lu  0.000  0.000  0.687 x2
Tl  0.000  0.000  0.334 x2

=====

[4]
This entry pairs a crystal structure of LuNi with its computed powder diffractogram. Radiation: λ = 1.5418 Å (Cu Kα). Structure: a crystal structure in Alexandria, relaxed with GGA-PBE.
Intensities are scaled so that the largest is 100.

Top 10 peaks for 10° ≤ 2θ ≤ 90°, most intense first:
34.05 deg, intensity 100.0
36.26 deg, intensity 93.1
30.39 deg, intensity 90.0
38.14 deg, intensity 86.5
42.57 deg, intensity 75.9
58.23 deg, intensity 69.9
43.93 deg, intensity 53.0
27.38 deg, intensity 43.7
43.15 deg, intensity 42.2
63.26 deg, intensity 39.5

Atomic structure:
Cell: 6.844 4.122 5.316 Å, 90.00 90.00 90.00°
Space group Pnma (No. 62)
Unique sites:
Lu  0.180  0.250  0.134 x4
Ni  0.037  0.250  0.629 x4